[1]
This entry pairs a crystal structure of BaZrPa2N5 with its computed PXRD pattern. Radiation: CuKα. Structure: a crystal structure in Alexandria, relaxed with PBE.

The 10 most intense peaks (2θ from 15° to 90°), most intense first:
30.1 deg, intensity 100
30.2 deg, intensity 62
36.9 deg, intensity 54
29.5 deg, intensity 41
56.1 deg, intensity 27
48.0 deg, intensity 26
52.7 deg, intensity 21
37.3 deg, intensity 21
60.5 deg, intensity 20
48.3 deg, intensity 19

Atomic structure:
```
18
Lattice="-3.4126 3.4126 6.0477 3.4126 -3.4126 6.0477 3.4126 3.4126 -6.0477" Properties=species:S:1:pos:R:3 pbc="T T T"
Ba 0.0000 0.0000 3.0238
Ba 0.0000 0.0000 9.0715
Zr 3.4126 0.0000 3.0238
Zr 0.0000 3.4126 3.0238
Pa 4.6472 1.2346 0.0000
Pa 1.2346 2.1780 0.0000
Pa 2.1780 1.2346 6.0477
Pa -1.2346 2.1780 6.0477
N 0.0000 0.0000 0.0000
N 2.3913 1.0213 -1.5068
N 2.3913 -1.0213 4.5409
N 2.3913 1.0213 1.5068
N 2.3913 -1.0213 7.5545
N 0.0000 0.0000 6.0477
N 1.0213 4.4338 -1.5068
N 1.0213 2.3913 4.5409
N 1.0213 4.4338 1.5068
N 1.0213 2.3913 7.5545
```



[2]
This entry pairs a crystal structure of Ba3PrTc2N6 with its computed PXRD pattern. Radiation: CuKα. Structure: a crystal structure in Alexandria, relaxed with PBE.

The 10 most intense peaks (2θ from 15° to 90°), most intense first:
28.1 deg, intensity 100
29.0 deg, intensity 89
40.8 deg, intensity 43
50.3 deg, intensity 38
49.7 deg, intensity 21
57.5 deg, intensity 19
66.2 deg, intensity 17
58.0 deg, intensity 16
79.8 deg, intensity 11
80.3 deg, intensity 10

Atomic structure:
```
12
Lattice="6.3570 0.0000 0.0000 -3.1785 5.5053 0.0000 0.0000 0.0000 7.4164" Properties=species:S:1:pos:R:3 pbc="T T T"
Ba 0.0000 0.0000 0.0000
Ba 0.0000 3.6702 5.2781
Ba 3.1785 1.8351 2.1383
Pr 0.0000 0.0000 3.7082
Tc 0.0000 3.6702 1.7603
Tc 3.1785 1.8351 5.6561
N 0.0000 1.9005 2.1188
N -1.5326 4.5550 2.1188
N 1.6459 0.9503 5.2976
N 1.5326 4.5550 2.1188
N 4.7111 0.9503 5.2976
N 3.1785 3.6048 5.2976
```